(1)
Computed powder X-ray diffraction pattern of Tl2AuI2Br2 for Cu Kα (weighted mean of Kα1 and Kα2), from a cell relaxed with PBE.

Atomic structure:
```
Tl2AuI2Br2
1.0
6.1220 0.0000 0.0000
-1.1069 6.6130 0.0000
-2.5021 -3.2928 6.2748
Tl Au I Br
2 1 2 2
Direct
0.1777 0.1761 0.3539
0.8223 0.8239 0.6461
0.0000 0.5000 0.0000
0.4443 0.2337 0.9995
0.5557 0.7663 0.0005
0.1966 0.6960 0.3942
0.8034 0.3040 0.6058
```

The 12 most intense peaks (10° ≤ 2θ ≤ 90°), in order of rising 2θ:
2θ 16.29, 5.441 Å, rel. 31; 2θ 25.19, 3.535 Å, rel. 57; 2θ 25.82, 3.451 Å, rel. 53; 2θ 25.91, 3.439 Å, rel. 98; 2θ 26.97, 3.306 Å, rel. 36; 2θ 29.45, 3.033 Å, rel. 100; 2θ 29.59, 3.019 Å, rel. 98; 2θ 30.56, 2.925 Å, rel. 35; 2θ 33.75, 2.656 Å, rel. 63; 2θ 37.43, 2.403 Å, rel. 41; 2θ 46.40, 1.957 Å, rel. 52; 2θ 49.50, 1.841 Å, rel. 38


(2)
Computed powder X-ray diffraction pattern of Nd3Mg7Ga4 for Cu Kα (weighted mean of Kα1 and Kα2), from a cell relaxed with PBE.

Atomic structure:
```
Nd3Mg7Ga4
1.0
8.4875 -2.2632 0.0000
8.4875 2.2632 0.0000
-6.2389 0.0000 8.4691
Nd Mg Ga
3 7 4
Direct
0.0000 0.0000 0.0000
0.3022 0.3022 0.2885
0.6978 0.6978 0.7115
0.0000 0.0000 0.5000
0.1647 0.1647 0.4290
0.3253 0.3253 0.9851
0.4893 0.4893 0.6972
0.5107 0.5107 0.3028
0.6747 0.6747 0.0149
0.8353 0.8353 0.5710
0.1202 0.1202 0.8357
0.3471 0.3471 0.7472
0.6529 0.6529 0.2528
0.8798 0.8798 0.1643
```

The 12 most intense peaks (10° ≤ 2θ ≤ 90°), in order of rising 2θ:
2θ 16.87, 5.257 Å, rel. 23; 2θ 20.99, 4.233 Å, rel. 33; 2θ 21.37, 4.157 Å, rel. 24; 2θ 27.78, 3.211 Å, rel. 38; 2θ 32.32, 2.770 Å, rel. 100; 2θ 32.75, 2.734 Å, rel. 24; 2θ 33.03, 2.712 Å, rel. 61; 2θ 33.74, 2.657 Å, rel. 25; 2θ 34.14, 2.626 Å, rel. 24; 2θ 39.83, 2.263 Å, rel. 36; 2θ 40.03, 2.253 Å, rel. 21; 2θ 47.67, 1.908 Å, rel. 18


(3)
Computed powder X-ray diffraction pattern of GePCl for Cu Kα (weighted mean of Kα1 and Kα2), from a cell relaxed with PBE.

Atomic structure:
```
GePCl
1.0
3.7792 0.0000 0.0000
-0.5835 3.7343 0.0000
-0.8358 -1.3910 10.8916
Ge P Cl
2 2 2
Direct
0.1207 0.4701 0.1425
0.8793 0.5299 0.8575
0.4705 0.9653 0.8992
0.5295 0.0347 0.1008
0.1660 0.5580 0.3427
0.8340 0.4420 0.6573
```

The 12 most intense peaks (10° ≤ 2θ ≤ 90°), in order of rising 2θ:
2θ 24.01, 3.707 Å, rel. 100; 2θ 24.55, 3.627 Å, rel. 67; 2θ 26.06, 3.420 Å, rel. 45; 2θ 27.35, 3.261 Å, rel. 47; 2θ 31.16, 2.870 Å, rel. 70; 2θ 32.45, 2.759 Å, rel. 63; 2θ 32.89, 2.723 Å, rel. 80; 2θ 36.68, 2.450 Å, rel. 68; 2θ 36.97, 2.431 Å, rel. 39; 2θ 48.93, 1.862 Å, rel. 28; 2θ 49.19, 1.852 Å, rel. 27; 2θ 53.43, 1.715 Å, rel. 22


(4)
Computed powder X-ray diffraction pattern of Sr2HIrO6 for Cu Kα (weighted mean of Kα1 and Kα2), from a cell relaxed with PBE.

Atomic structure:
```
Sr2HIrO6
1.0
5.1515 -2.5991 0.0000
5.1515 2.5991 0.0000
-0.7105 0.0000 4.4077
Sr H Ir O
2 1 1 6
Direct
0.1981 0.1981 0.2280
0.8019 0.8019 0.7720
0.0000 0.0000 0.5000
0.5000 0.5000 0.0000
0.1751 0.7029 0.2463
0.2971 0.8249 0.7537
0.3228 0.3228 0.7586
0.6772 0.6772 0.2414
0.7029 0.1751 0.2463
0.8249 0.2971 0.7537
```

The 12 most intense peaks (10° ≤ 2θ ≤ 90°), in order of rising 2θ:
2θ 19.17, 4.629 Å, rel. 53; 2θ 20.15, 4.408 Å, rel. 56; 2θ 24.53, 3.629 Å, rel. 48; 2θ 28.97, 3.082 Å, rel. 100; 2θ 31.50, 2.840 Å, rel. 72; 2θ 34.51, 2.599 Å, rel. 36; 2θ 35.25, 2.546 Å, rel. 72; 2θ 42.80, 2.113 Å, rel. 40; 2θ 43.84, 2.065 Å, rel. 34; 2θ 46.93, 1.936 Å, rel. 21; 2θ 55.45, 1.657 Å, rel. 28; 2θ 59.99, 1.542 Å, rel. 28


Question: Which formula does entry 4 have?
Answer: Sr2HIrO6